Entry 1:
Theoretical X-ray powder pattern of Hf5TiSb4 for copper Kα, from a GGA-PBE-relaxed structure.
Neutral-atom scattering factors, no anomalous dispersion.

The 10 most intense peaks (10° ≤ 2θ ≤ 90°), by angle:
- 25.05 deg, I = 66, hkl 2 0 1
- 32.94 deg, I = 100, hkl 0 3 1
- 34.49 deg, I = 50, hkl 3 0 1
- 34.62 deg, I = 34, hkl 1 3 1
- 34.94 deg, I = 73, hkl 2 0 2
- 39.29 deg, I = 48, hkl 2 3 1
- 42.39 deg, I = 22, hkl 4 0 0
- 42.55 deg, I = 26, hkl 1 3 2
- 43.87 deg, I = 40, hkl 3 3 0
- 46.55 deg, I = 33, hkl 2 3 2

Cell and atoms:
```
data_Hf5TiSb4
_chemical_formula_sum 'Hf10 Ti2 Sb8'
_space_group_name_H-M_alt 'P m m n'
_space_group_IT_number 59
_cell_length_a 8.5304
_cell_length_b 9.0015
_cell_length_c 6.4312
_cell_angle_alpha 90.00
_cell_angle_beta 90.00
_cell_angle_gamma 90.00
loop_
_space_group_symop_operation_xyz
'x,y,z'
'-x,-y,-z'
'-x+1/2,-y+1/2,z'
'x+1/2,y+1/2,-z'
'x+1/2,-y,-z'
'-x+1/2,y,z'
'-x,y+1/2,-z'
'x,-y+1/2,z'
loop_
_atom_site_label
_atom_site_type_symbol
_atom_site_fract_x
_atom_site_fract_y
_atom_site_fract_z
Hf1 Hf 0.0501 0.0690 0.2345
Hf2 Hf 0.2500 0.2500 0.5748
Ti1 Ti 0.2500 0.7500 0.8833
Sb1 Sb 0.9997 0.2500 0.8608
Sb2 Sb 0.2500 0.5701 0.5428
```

Entry 2:
Theoretical X-ray powder pattern of Lu2ZnCo for copper Kα, from a GGA-PBE-relaxed structure.
Neutral-atom scattering factors, no anomalous dispersion.

The 10 most intense peaks (10° ≤ 2θ ≤ 90°), by angle:
- 25.08 deg, I = 12, hkl 0 0 2
- 26.96 deg, I = 24, hkl 1 0 0
- 37.15 deg, I = 100, hkl 1 0 2
- 38.50 deg, I = 49, hkl 1 1 0
- 46.50 deg, I = 10, hkl 1 1 2
- 51.47 deg, I = 8, hkl 0 0 4
- 55.58 deg, I = 17, hkl 2 0 0
- 66.08 deg, I = 14, hkl 1 1 4
- 68.76 deg, I = 32, hkl 2 1 2
- 79.16 deg, I = 9, hkl 2 0 4

Cell and atoms:
```
data_Lu2ZnCo
_chemical_formula_sum 'Lu2 Zn1 Co1'
_space_group_name_H-M_alt 'P 4/m m m'
_space_group_IT_number 123
_space_group_name_Hall '-P 4 2'
_cell_length_a 3.3071
_cell_length_b 3.3071
_cell_length_c 7.1012
_cell_angle_alpha 90.00
_cell_angle_beta 90.00
_cell_angle_gamma 90.00
loop_
_atom_site_label
_atom_site_type_symbol
_atom_site_fract_x
_atom_site_fract_y
_atom_site_fract_z
Lu1 Lu 0.0000 0.0000 0.2249
Zn1 Zn 0.5000 0.5000 0.5000
Co1 Co 0.5000 0.5000 0.0000
```

Entry 3:
Theoretical X-ray powder pattern of Na4Ge2PbS6 for copper Kα, from a GGA-PBE-relaxed structure.
Neutral-atom scattering factors, no anomalous dispersion.

The 10 most intense peaks (10° ≤ 2θ ≤ 90°), by angle:
- 11.87 deg, I = 53, hkl 0 0 1
- 15.37 deg, I = 30, hkl 1 1 0
- 16.84 deg, I = 23, hkl 1 1 -1
- 24.88 deg, I = 19, hkl 1 1 -2
- 26.19 deg, I = 46, hkl 2 0 -1
- 27.10 deg, I = 22, hkl 2 0 0
- 28.24 deg, I = 19, hkl 0 2 2
- 30.49 deg, I = 100, hkl 1 3 1
- 41.61 deg, I = 19, hkl 2 0 2
- 45.60 deg, I = 31, hkl 3 3 -1

Cell and atoms:
```
data_Na4Ge2PbS6
_chemical_formula_sum 'Na8 Ge4 Pb2 S12'
_space_group_name_H-M_alt 'C 1 2 1'
_space_group_IT_number 5
_space_group_name_Hall 'C 2y'
_cell_length_a 6.8962
_cell_length_b 11.9097
_cell_length_c 7.8020
_cell_angle_alpha 90.00
_cell_angle_beta 107.12
_cell_angle_gamma 90.00
loop_
_atom_site_label
_atom_site_type_symbol
_atom_site_fract_x
_atom_site_fract_y
_atom_site_fract_z
Na1 Na 0.0000 0.0000 0.0000
Na2 Na 0.0000 0.1579 0.5000
Na3 Na 0.0000 0.5102 0.5000
Na4 Na 0.0000 0.8327 0.5000
Ge1 Ge 0.0523 0.3338 0.1628
Pb1 Pb 0.0000 0.6685 0.0000
S1 S 0.2274 0.3334 0.7469
S2 S 0.2386 0.1778 0.2519
S3 S 0.2389 0.4892 0.2539
```

Entry 4:
Theoretical X-ray powder pattern of La2ThC2Br2 for copper Kα, from a GGA-PBE-relaxed structure.
Neutral-atom scattering factors, no anomalous dispersion.

The 10 most intense peaks (10° ≤ 2θ ≤ 90°), by angle:
- 11.20 deg, I = 34, hkl 0 0 2
- 26.36 deg, I = 90, hkl 1 1 0
- 34.01 deg, I = 100, hkl 1 0 5
- 37.63 deg, I = 41, hkl 2 0 0
- 51.62 deg, I = 62, hkl 2 1 5
- 54.27 deg, I = 14, hkl 2 2 0
- 61.32 deg, I = 17, hkl 3 1 0
- 65.18 deg, I = 14, hkl 1 1 10
- 65.61 deg, I = 15, hkl 3 0 5
- 78.18 deg, I = 18, hkl 3 2 5

Cell and atoms:
```
data_La2ThC2Br2
_chemical_formula_sum 'La4 Th2 C4 Br4'
_space_group_name_H-M_alt 'I 4/m m m'
_space_group_IT_number 139
_space_group_name_Hall '-I 4 2'
_cell_length_a 4.7809
_cell_length_b 4.7809
_cell_length_c 15.7994
_cell_angle_alpha 90.00
_cell_angle_beta 90.00
_cell_angle_gamma 90.00
loop_
_atom_site_label
_atom_site_type_symbol
_atom_site_fract_x
_atom_site_fract_y
_atom_site_fract_z
La1 La 0.0000 0.0000 0.0984
Th1 Th 0.0000 0.0000 0.5000
C1 C 0.0000 0.5000 0.0000
Br1 Br 0.0000 0.0000 0.3059
```